[1]
Computed powder X-ray diffraction pattern
Compound: Na2CaMg2
Radiation: Cu Kα (weighted mean of Kα1 and Kα2)
Structure: a structure optimized by DFT (PBE)
Peak positions follow from Bragg's law for the DFT cell and can differ from measured ones.

Structural model:
Cell lengths 9.2879, 9.2879, 3.5727 Å; angles 90.00, 90.00, 90.00 degrees
Element x y z (fractional)
Na1 0.1215 0.3785 0.0000
Na2 0.3785 0.8785 0.0000
Na3 0.6215 0.1215 0.0000
Na4 0.8785 0.6215 0.0000
Ca1 0.0000 0.0000 0.0000
Ca2 0.5000 0.5000 0.0000
Mg1 0.1784 0.6784 0.5000
Mg2 0.3216 0.1784 0.5000
Mg3 0.6784 0.8216 0.5000
Mg4 0.8216 0.3216 0.5000

The 10 most intense peaks (10 to 80 degrees two-theta), by angle:
Position (°2θ), I/Imax
27.2, 34
30.4, 98
31.6, 67
33.1, 100
34.8, 18
39.7, 22
48.8, 16
51.1, 14
56.7, 29
60.7, 28

=====

[2]
Computed powder X-ray diffraction pattern
Compound: RbLiPuBr4
Radiation: Cu Kα (weighted mean of Kα1 and Kα2)
Structure: a structure optimized by DFT (PBE)
Peak positions follow from Bragg's law for the DFT cell and can differ from measured ones.

Structural model:
Cell lengths 7.1012, 7.3864, 9.4961 Å; angles 90.00, 109.25, 90.00 degrees
Element x y z (fractional)
Rb1 0.2367 0.2500 0.4407
Rb2 0.7633 0.7500 0.5593
Li1 0.2670 0.7500 0.1766
Li2 0.7330 0.2500 0.8234
Pu1 0.2929 0.2500 0.9538
Pu2 0.7071 0.7500 0.0462
Br1 0.0428 0.7500 0.9177
Br2 0.0627 0.7500 0.3418
Br3 0.4834 0.5036 0.7842
Br4 0.4834 0.9964 0.7842
Br5 0.5166 0.0036 0.2158
Br6 0.5166 0.4964 0.2158
Br7 0.9373 0.2500 0.6582
Br8 0.9572 0.2500 0.0823

The 10 most intense peaks (10 to 80 degrees two-theta), by angle:
Position (°2θ), I/Imax
17.9, 71
24.1, 30
27.3, 25
27.5, 59
29.9, 60
30.1, 46
31.4, 100
37.9, 23
42.3, 28
46.2, 32

=====

[3]
Computed powder X-ray diffraction pattern
Compound: Ac2Cd4In3Sn
Radiation: Cu Kα (weighted mean of Kα1 and Kα2)
Structure: a structure optimized by DFT (PBE)
Peak positions follow from Bragg's law for the DFT cell and can differ from measured ones.

Structural model:
Cell lengths 4.7871, 4.7871, 12.1991 Å; angles 90.00, 90.00, 90.00 degrees
Element x y z (fractional)
Ac1 0.0000 0.5000 0.2475
Ac2 0.5000 0.0000 0.7525
Cd1 0.0000 0.0000 0.0000
Cd2 0.0000 0.5000 0.6402
Cd3 0.5000 0.0000 0.3598
Cd4 0.5000 0.5000 0.0000
In1 0.0000 0.5000 0.8649
In2 0.5000 0.0000 0.1351
In3 0.5000 0.5000 0.5000
Sn1 0.0000 0.0000 0.5000

The 10 most intense peaks (10 to 80 degrees two-theta), by angle:
Position (°2θ), I/Imax
26.3, 14
28.8, 54
30.2, 100
37.6, 55
41.5, 33
48.0, 27
54.2, 19
57.3, 25
63.3, 24
73.7, 13

=====

[4]
Computed powder X-ray diffraction pattern
Compound: Mn2FeRh5
Radiation: Cu Kα (weighted mean of Kα1 and Kα2)
Structure: a structure optimized by DFT (PBE)
Peak positions follow from Bragg's law for the DFT cell and can differ from measured ones.

Structural model:
Cell lengths 5.3272, 10.5346, 3.9138 Å; angles 90.00, 90.00, 90.00 degrees
Element x y z (fractional)
Mn1 0.1980 0.1351 0.0000
Mn2 0.3020 0.6351 0.0000
Mn3 0.6980 0.3649 0.0000
Mn4 0.8020 0.8649 0.0000
Fe1 0.0000 0.5000 0.5000
Fe2 0.5000 0.0000 0.5000
Rh1 0.0000 0.0000 0.5000
Rh2 0.0569 0.7433 0.5000
Rh3 0.2045 0.3854 0.0000
Rh4 0.2955 0.8854 0.0000
Rh5 0.4431 0.2433 0.5000
Rh6 0.5000 0.5000 0.5000
Rh7 0.5569 0.7567 0.5000
Rh8 0.7045 0.1146 0.0000
Rh9 0.7955 0.6146 0.0000
Rh10 0.9431 0.2567 0.5000

The 10 most intense peaks (10 to 80 degrees two-theta), by angle:
Position (°2θ), I/Imax
33.1, 8
41.0, 76
41.3, 100
41.9, 29
42.6, 14
46.4, 37
48.6, 44
64.8, 8
69.5, 29
71.7, 8

=====

[5]
Computed powder X-ray diffraction pattern
Compound: Cd3Ga2Hg6
Radiation: Cu Kα (weighted mean of Kα1 and Kα2)
Structure: a structure optimized by DFT (PBE)
Peak positions follow from Bragg's law for the DFT cell and can differ from measured ones.

Structural model:
Cell lengths 10.6986, 10.6986, 10.6986 Å; angles 150.00, 150.00, 42.95 degrees
Element x y z (fractional)
Cd1 0.0000 0.0000 0.0000
Cd2 0.1533 0.1533 0.0000
Cd3 0.8467 0.8467 0.0000
Ga1 0.4350 0.4350 0.0000
Ga2 0.5650 0.5650 0.0000
Hg1 0.0890 0.5890 0.5000
Hg2 0.2943 0.2943 0.0000
Hg3 0.4110 0.9110 0.5000
Hg4 0.5890 0.0890 0.5000
Hg5 0.7057 0.7057 0.0000
Hg6 0.9110 0.4110 0.5000

The 10 most intense peaks (10 to 80 degrees two-theta), by angle:
Position (°2θ), I/Imax
24.4, 43
29.0, 33
32.3, 100
35.5, 95
46.4, 37
48.7, 31
55.6, 12
59.7, 34
77.0, 17
78.8, 13

=====

[6]
Computed powder X-ray diffraction pattern
Compound: CePu2Cd
Radiation: Cu Kα (weighted mean of Kα1 and Kα2)
Structure: a structure optimized by DFT (PBE)
Peak positions follow from Bragg's law for the DFT cell and can differ from measured ones.

Structural model:
Cell lengths 3.1124, 3.1124, 10.3491 Å; angles 90.00, 90.00, 90.00 degrees
Element x y z (fractional)
Ce1 0.0000 0.0000 0.0000
Pu1 0.5000 0.5000 0.2547
Pu2 0.5000 0.5000 0.7453
Cd1 0.0000 0.0000 0.5000

The 10 most intense peaks (10 to 80 degrees two-theta), by angle:
Position (°2θ), I/Imax
17.1, 10
28.7, 6
33.6, 100
34.7, 23
41.0, 29
54.8, 25
59.4, 10
61.5, 18
70.0, 24
70.6, 12

=====

[7]
Computed powder X-ray diffraction pattern
Compound: Rb3PdI6
Radiation: Cu Kα (weighted mean of Kα1 and Kα2)
Structure: a structure optimized by DFT (PBE)
Peak positions follow from Bragg's law for the DFT cell and can differ from measured ones.

Structural model:
Cell lengths 8.4393, 9.2896, 14.2676 Å; angles 90.00, 123.25, 90.00 degrees
Element x y z (fractional)
Rb1 0.0000 0.0000 0.0000
Rb2 0.0000 0.5000 0.5000
Rb3 0.2122 0.0790 0.7457
Rb4 0.2122 0.4210 0.2457
Rb5 0.7878 0.5790 0.7543
Rb6 0.7878 0.9210 0.2543
Pd1 0.5000 0.0000 0.5000
Pd2 0.5000 0.5000 0.0000
I1 0.1992 0.1575 0.4626
I2 0.1992 0.3425 0.9626
I3 0.2602 0.7295 0.4254
I4 0.2602 0.7705 0.9254
I5 0.4041 0.0505 0.2887
I6 0.4041 0.4495 0.7887
I7 0.5959 0.5505 0.2113
I8 0.5959 0.9495 0.7113
I9 0.7398 0.2295 0.0746
I10 0.7398 0.2705 0.5746
I11 0.8008 0.6575 0.0374
I12 0.8008 0.8425 0.5374

The 10 most intense peaks (10 to 80 degrees two-theta), by angle:
Position (°2θ), I/Imax
12.1, 72
14.2, 55
24.3, 100
24.7, 60
26.2, 62
27.0, 59
28.6, 72
31.5, 66
31.8, 72
35.9, 59

=====

[8]
Computed powder X-ray diffraction pattern
Compound: HfScBeRe
Radiation: Cu Kα (weighted mean of Kα1 and Kα2)
Structure: a structure optimized by DFT (PBE)
Peak positions follow from Bragg's law for the DFT cell and can differ from measured ones.

Structural model:
Cell lengths 4.5675, 4.5675, 4.5675 Å; angles 60.00, 60.00, 60.00 degrees
Element x y z (fractional)
Hf1 0.0000 0.0000 0.0000
Sc1 0.5000 0.5000 0.5000
Be1 0.7500 0.7500 0.7500
Re1 0.2500 0.2500 0.2500

The 8 most intense peaks (10 to 80 degrees two-theta), by angle:
Position (°2θ), I/Imax
23.9, 70
27.6, 1
39.5, 100
46.6, 37
57.0, 17
62.7, 16
71.6, 35
76.7, 12

=====

[9]
Computed powder X-ray diffraction pattern
Compound: Li2Hg7
Radiation: Cu Kα (weighted mean of Kα1 and Kα2)
Structure: a structure optimized by DFT (PBE)
Peak positions follow from Bragg's law for the DFT cell and can differ from measured ones.

Structural model:
Cell lengths 5.7367, 5.7367, 7.4346 Å; angles 90.00, 90.00, 120.00 degrees
Element x y z (fractional)
Li1 0.3333 0.6667 0.0000
Li2 0.6667 0.3333 0.0000
Hg1 0.0000 0.0000 0.0000
Hg2 0.0000 0.3559 0.6859
Hg3 0.0000 0.6441 0.3141
Hg4 0.3559 0.0000 0.6859
Hg5 0.3559 0.3559 0.3141
Hg6 0.6441 0.0000 0.3141
Hg7 0.6441 0.6441 0.6859

The 10 most intense peaks (10 to 80 degrees two-theta), by angle:
Position (°2θ), I/Imax
11.9, 11
21.5, 15
23.9, 14
33.5, 100
36.2, 29
39.7, 55
55.5, 20
59.2, 20
66.4, 13
68.1, 20

=====

[10]
Computed powder X-ray diffraction pattern
Compound: Ce2InRu
Radiation: Cu Kα (weighted mean of Kα1 and Kα2)
Structure: a structure optimized by DFT (PBE)
Peak positions follow from Bragg's law for the DFT cell and can differ from measured ones.

Structural model:
Cell lengths 6.6631, 6.6631, 6.6631 Å; angles 125.14, 90.53, 114.52 degrees
Element x y z (fractional)
Ce1 0.0894 0.5468 0.0426
Ce2 0.1622 0.2500 0.4122
Ce3 0.5041 0.0468 0.9574
Ce4 0.8378 0.7500 0.5878
In1 0.6270 0.1270 0.5000
In2 0.6270 0.6270 0.0000
Ru1 0.2198 0.0563 0.6635
Ru2 0.3928 0.5563 0.3365

The 10 most intense peaks (10 to 80 degrees two-theta), by angle:
Position (°2θ), I/Imax
29.1, 46
30.3, 88
31.2, 77
32.1, 45
33.1, 100
34.9, 51
38.5, 44
38.7, 55
43.2, 69
56.9, 52

=====

[11]
Computed powder X-ray diffraction pattern
Compound: Al2InSb3
Radiation: Cu Kα (weighted mean of Kα1 and Kα2)
Structure: a structure optimized by DFT (PBE)
Peak positions follow from Bragg's law for the DFT cell and can differ from measured ones.

Structural model:
Cell lengths 7.7861, 7.7861, 7.7794 Å; angles 99.56, 99.56, 120.04 degrees
Element x y z (fractional)
Al1 0.0829 0.9171 0.5000
Al2 0.2469 0.7530 0.9992
Al3 0.7530 0.2469 0.4992
Al4 0.9171 0.0829 0.0000
In1 0.4149 0.5863 0.4994
In2 0.5863 0.4149 0.9994
Sb1 0.1108 0.6276 0.6295
Sb2 0.2749 0.4570 0.1122
Sb3 0.4570 0.2749 0.6122
Sb4 0.6276 0.1108 0.1295
Sb5 0.8076 0.9724 0.6313
Sb6 0.9724 0.8076 0.1313

The 10 most intense peaks (10 to 80 degrees two-theta), by angle:
Position (°2θ), I/Imax
24.3, 100
24.3, 32
28.1, 15
40.1, 88
47.4, 60
58.1, 14
63.8, 20
72.9, 28
78.1, 12
78.2, 6

=====

[12]
Computed powder X-ray diffraction pattern
Compound: LiTl7In12
Radiation: Cu Kα (weighted mean of Kα1 and Kα2)
Structure: a structure optimized by DFT (PBE)
Peak positions follow from Bragg's law for the DFT cell and can differ from measured ones.

Structural model:
Cell lengths 8.4108, 8.4108, 8.4108 Å; angles 100.02, 100.02, 100.02 degrees
Element x y z (fractional)
Li1 0.0000 0.0000 0.0000
Tl1 0.1519 0.1519 0.4135
Tl2 0.1519 0.4135 0.1519
Tl3 0.4135 0.1519 0.1519
Tl4 0.5000 0.5000 0.5000
Tl5 0.5865 0.8481 0.8481
Tl6 0.8481 0.5865 0.8481
Tl7 0.8481 0.8481 0.5865
In1 0.0000 0.2568 0.7432
In2 0.0000 0.7432 0.2568
In3 0.1677 0.6019 0.6019
In4 0.2568 0.0000 0.7432
In5 0.2568 0.7432 0.0000
In6 0.3981 0.3981 0.8323
In7 0.3981 0.8323 0.3981
In8 0.6019 0.1677 0.6019
In9 0.6019 0.6019 0.1677
In10 0.7432 0.0000 0.2568
In11 0.7432 0.2568 0.0000
In12 0.8323 0.3981 0.3981

The 10 most intense peaks (10 to 80 degrees two-theta), by angle:
Position (°2θ), I/Imax
29.8, 57
31.5, 70
32.7, 78
33.0, 100
33.2, 76
35.6, 41
36.1, 24
52.8, 32
57.2, 30
59.4, 31

=====

[13]
Computed powder X-ray diffraction pattern
Compound: Li6NdPt6
Radiation: Cu Kα (weighted mean of Kα1 and Kα2)
Structure: a structure optimized by DFT (PBE)
Peak positions follow from Bragg's law for the DFT cell and can differ from measured ones.

Structural model:
Cell lengths 6.8211, 6.8211, 6.8211 Å; angles 133.62, 102.84, 95.04 degrees
Element x y z (fractional)
Li1 0.1445 0.1445 0.0000
Li2 0.1577 0.5000 0.6577
Li3 0.2948 0.7948 0.5000
Li4 0.7052 0.2052 0.5000
Li5 0.8423 0.5000 0.3423
Li6 0.8555 0.8555 0.0000
Nd1 0.5000 0.5000 0.0000
Pt1 0.0000 0.0000 0.5000
Pt2 0.0000 0.5000 0.0000
Pt3 0.2811 0.0000 0.2811
Pt4 0.5000 0.0000 0.0000
Pt5 0.5000 0.5000 0.5000
Pt6 0.7189 0.0000 0.7189

The 10 most intense peaks (10 to 80 degrees two-theta), by angle:
Position (°2θ), I/Imax
14.2, 23
20.9, 100
28.5, 78
38.8, 76
39.1, 38
39.9, 22
42.5, 25
44.5, 61
44.7, 30
58.9, 37